# 1
Starting from a structure optimized by DFT (PBE), the powder diffractogram of CsTmTlTe3 was calculated for CuKα.
Neutral-atom scattering factors, no anomalous dispersion.

Cell and atoms:
Cell lengths 10.492, 4.389, 11.113 Å; angles 90.00, 107.73, 90.00 degrees
Element x y z (fractional)
Cs  0.188  0.250  0.234
Cs  0.812  0.750  0.766
Tm  0.359  0.750  0.852
Tm  0.641  0.250  0.148
Tl  0.122  0.250  0.569
Tl  0.878  0.750  0.431
Te  0.151  0.250  0.848
Te  0.323  0.750  0.569
Te  0.436  0.750  0.138
Te  0.564  0.250  0.862
Te  0.677  0.250  0.431
Te  0.849  0.750  0.152

The 12 most intense peaks (2θ from 10° to 80°), most intense first:
d = 3.298 Å, 2θ 27.0, I = 100
d = 8.710 Å, 2θ 10.2, I = 73
d = 2.196 Å, 2θ 41.1, I = 35
d = 3.528 Å, 2θ 25.2, I = 27
d = 2.735 Å, 2θ 32.7, I = 26
d = 2.694 Å, 2θ 33.3, I = 17
d = 3.048 Å, 2θ 29.3, I = 17
d = 2.500 Å, 2θ 35.9, I = 14
d = 2.776 Å, 2θ 32.3, I = 13
d = 1.910 Å, 2θ 47.6, I = 12
d = 2.302 Å, 2θ 39.1, I = 11
d = 3.699 Å, 2θ 24.1, I = 11

# 2
Starting from a structure optimized by DFT (PBE), the powder diffractogram of Li6Cd2Pd3 was calculated for CuKα.
Neutral-atom scattering factors, no anomalous dispersion.

Cell and atoms:
Cell lengths 8.638, 8.638, 2.971 Å; angles 90.00, 90.00, 123.99 degrees
Element x y z (fractional)
Li  0.096  0.904  0.000
Li  0.148  0.483  0.000
Li  0.483  0.148  0.000
Li  0.517  0.852  0.000
Li  0.852  0.517  0.000
Li  0.904  0.096  0.000
Cd  0.221  0.221  0.500
Cd  0.779  0.779  0.500
Pd  0.226  0.774  0.500
Pd  0.500  0.500  0.000
Pd  0.774  0.226  0.500

The 12 most intense peaks (2θ from 10° to 80°), most intense first:
d = 2.286 Å, 2θ 39.4, I = 100
d = 3.813 Å, 2θ 23.3, I = 85
d = 3.581 Å, 2θ 24.9, I = 53
d = 1.744 Å, 2θ 52.5, I = 27
d = 7.626 Å, 2θ 11.6, I = 25
d = 2.059 Å, 2θ 44.0, I = 24
d = 2.387 Å, 2θ 37.7, I = 23
d = 4.308 Å, 2θ 20.6, I = 23
d = 2.028 Å, 2θ 44.7, I = 20
d = 2.343 Å, 2θ 38.4, I = 19
d = 2.744 Å, 2θ 32.6, I = 18
d = 2.971 Å, 2θ 30.1, I = 17

# 3
Starting from a structure optimized by DFT (PBE), the powder diffractogram of PmNdSeN was calculated for CuKα.
Neutral-atom scattering factors, no anomalous dispersion.

Cell and atoms:
Cell lengths 3.811, 3.811, 20.307 Å; angles 90.00, 90.00, 120.00 degrees
Element x y z (fractional)
Pm  0.000  0.000  0.000
Pm  0.333  0.667  0.667
Pm  0.667  0.333  0.333
Nd  0.000  0.000  0.468
Nd  0.333  0.667  0.134
Nd  0.667  0.333  0.801
Se  0.000  0.000  0.235
Se  0.333  0.667  0.901
Se  0.667  0.333  0.568
N  0.000  0.000  0.732
N  0.333  0.667  0.399
N  0.667  0.333  0.066

The 12 most intense peaks (2θ from 10° to 80°), most intense first:
d = 2.767 Å, 2θ 32.4, I = 100
d = 3.139 Å, 2θ 28.4, I = 39
d = 1.906 Å, 2θ 47.7, I = 38
d = 2.561 Å, 2θ 35.0, I = 27
d = 2.012 Å, 2θ 45.1, I = 26
d = 1.456 Å, 2θ 63.9, I = 19
d = 1.569 Å, 2θ 58.8, I = 18
d = 1.211 Å, 2θ 79.0, I = 15
d = 2.256 Å, 2θ 40.0, I = 13
d = 1.412 Å, 2θ 66.2, I = 12
d = 3.258 Å, 2θ 27.4, I = 11
d = 3.385 Å, 2θ 26.3, I = 9

# 4
Starting from a structure optimized by DFT (PBE), the powder diffractogram of Ge2Se was calculated for CuKα.
Neutral-atom scattering factors, no anomalous dispersion.

Cell and atoms:
Cell lengths 4.197, 6.913, 5.602 Å; angles 90.00, 111.48, 90.00 degrees
Element x y z (fractional)
Ge  0.174  0.000  0.331
Ge  0.225  0.638  0.464
Ge  0.775  0.138  0.536
Ge  0.826  0.500  0.669
Se  0.187  0.419  0.108
Se  0.813  0.919  0.892

The 12 most intense peaks (2θ from 10° to 80°), most intense first:
d = 2.881 Å, 2θ 31.0, I = 100
d = 3.881 Å, 2θ 22.9, I = 94
d = 1.983 Å, 2θ 45.8, I = 85
d = 3.384 Å, 2θ 26.3, I = 78
d = 2.439 Å, 2θ 36.9, I = 64
d = 1.796 Å, 2θ 50.8, I = 58
d = 3.457 Å, 2θ 25.8, I = 57
d = 2.583 Å, 2θ 34.7, I = 54
d = 2.109 Å, 2θ 42.9, I = 43
d = 3.906 Å, 2θ 22.8, I = 42
d = 2.689 Å, 2θ 33.3, I = 42
d = 2.506 Å, 2θ 35.8, I = 37

Repeat the third record exactly.
Starting from a structure optimized by DFT (PBE), the powder diffractogram of PmNdSeN was calculated for CuKα.
Neutral-atom scattering factors, no anomalous dispersion.

Cell and atoms:
Cell lengths 3.811, 3.811, 20.307 Å; angles 90.00, 90.00, 120.00 degrees
Element x y z (fractional)
Pm  0.000  0.000  0.000
Pm  0.333  0.667  0.667
Pm  0.667  0.333  0.333
Nd  0.000  0.000  0.468
Nd  0.333  0.667  0.134
Nd  0.667  0.333  0.801
Se  0.000  0.000  0.235
Se  0.333  0.667  0.901
Se  0.667  0.333  0.568
N  0.000  0.000  0.732
N  0.333  0.667  0.399
N  0.667  0.333  0.066

The 12 most intense peaks (2θ from 10° to 80°), most intense first:
d = 2.767 Å, 2θ 32.4, I = 100
d = 3.139 Å, 2θ 28.4, I = 39
d = 1.906 Å, 2θ 47.7, I = 38
d = 2.561 Å, 2θ 35.0, I = 27
d = 2.012 Å, 2θ 45.1, I = 26
d = 1.456 Å, 2θ 63.9, I = 19
d = 1.569 Å, 2θ 58.8, I = 18
d = 1.211 Å, 2θ 79.0, I = 15
d = 2.256 Å, 2θ 40.0, I = 13
d = 1.412 Å, 2θ 66.2, I = 12
d = 3.258 Å, 2θ 27.4, I = 11
d = 3.385 Å, 2θ 26.3, I = 9

What is the formula in the first record? CsTmTlTe3